For Pr4Dy5Tm4, DFT lattice parameters and positions (GGA-PBE) gives the computed XRD peak list in this record (Cu Kα (λ = 1.5418 Å)).

Peak list (6 most intense, 2θ = 10–90°, sorted by position)
30.6°, I 100
35.5°, I 51
51.0°, I 36
60.6°, I 28
60.8°, I 14
63.7°, I 12

Crystal structure
```
Pr4Dy5Tm4
1.0
-6.458 6.458 2.526
6.458 -6.458 2.526
6.458 6.458 -2.526
Pr Dy Tm
4 5 4
Cartesian
7.993 1.018 0.000 Pr
1.018 4.923 0.000 Pr
5.441 1.535 2.526 Pr
-1.535 5.441 2.526 Pr
0.000 0.000 0.000 Dy
5.942 4.021 0.000 Dy
2.438 -0.517 2.526 Dy
4.021 6.975 0.000 Dy
0.517 2.438 2.526 Dy
2.962 1.977 0.000 Tm
4.481 -3.497 2.526 Tm
1.977 9.955 0.000 Tm
3.497 4.481 2.526 Tm
```



For Pr2Dy9Tm, DFT lattice parameters and positions (GGA-PBE) gives the computed XRD peak list in this record (Cu Kα (λ = 1.5418 Å)).

Peak list (6 most intense, 2θ = 10–90°, sorted by position)
30.1°, I 24
31.5°, I 56
31.7°, I 100
45.3°, I 20
56.4°, I 21
62.6°, I 29

Crystal structure
```
Pr2Dy9Tm
1.0
11.283 0.000 0.000
-5.641 9.771 0.000
0.000 0.000 3.490
Pr Dy Tm
2 9 1
Cartesian
0.000 6.514 0.000 Pr
5.641 3.257 0.000 Pr
-2.821 4.886 0.000 Dy
0.000 3.366 1.745 Dy
-2.727 8.088 1.745 Dy
2.915 1.683 1.745 Dy
5.641 0.000 0.000 Dy
2.821 4.886 0.000 Dy
2.727 8.088 1.745 Dy
8.368 1.683 1.745 Dy
5.641 6.406 1.745 Dy
0.000 0.000 0.000 Tm
```



For PrDy12Tm5, DFT lattice parameters and positions (GGA-PBE) gives the computed XRD peak list in this record (Cu Kα (λ = 1.5418 Å)).

Peak list (6 most intense, 2θ = 10–90°, sorted by position)
31.0°, I 100
35.9°, I 51
51.7°, I 36
61.5°, I 43
64.6°, I 12
84.5°, I 18

Crystal structure
```
PrDy12Tm5
1.0
7.494 -7.506 0.000
7.494 7.506 0.000
0.000 0.000 4.997
Pr Dy Tm
1 12 5
Cartesian
0.000 0.000 0.000 Pr
4.988 4.987 0.000 Dy
2.520 0.000 2.498 Dy
5.013 2.494 2.498 Dy
5.012 0.000 0.000 Dy
9.999 4.987 0.000 Dy
9.975 2.494 2.498 Dy
5.013 -2.494 2.498 Dy
4.988 -4.987 0.000 Dy
9.975 0.000 0.000 Dy
9.975 -2.494 2.498 Dy
12.467 0.000 2.498 Dy
9.999 -4.987 0.000 Dy
7.494 4.975 2.498 Tm
7.494 2.498 0.000 Tm
7.494 0.000 2.498 Tm
7.494 -2.498 0.000 Tm
7.494 -4.975 2.498 Tm
```



For PrDy2Tm12, DFT lattice parameters and positions (GGA-PBE) gives the computed XRD peak list in this record (Cu Kα (λ = 1.5418 Å)).

Peak list (6 most intense, 2θ = 10–90°, sorted by position)
30.8°, I 16
31.3°, I 34
31.9°, I 49
32.6°, I 100
34.5°, I 32
57.3°, I 20

Crystal structure
```
PrDy2Tm12
1.0
3.575 0.000 0.000
0.000 5.611 0.000
-1.773 0.000 23.218
Pr Dy Tm
1 2 12
Cartesian
0.000 0.000 0.000 Pr
-0.004 0.000 6.660 Dy
1.806 0.000 16.558 Dy
-0.006 2.805 4.527 Tm
0.004 2.805 10.291 Tm
0.012 0.000 13.326 Tm
0.019 2.805 15.707 Tm
0.021 0.000 19.724 Tm
0.024 2.805 21.614 Tm
1.778 2.805 1.604 Tm
1.781 0.000 3.494 Tm
1.784 2.805 7.511 Tm
1.790 0.000 9.892 Tm
1.799 2.805 12.927 Tm
1.808 2.805 18.691 Tm
```



For Pr7Dy3Tm, DFT lattice parameters and positions (GGA-PBE) gives the computed XRD peak list in this record (Cu Kα (λ = 1.5418 Å)).

Peak list (6 most intense, 2θ = 10–90°, sorted by position)
28.6°, I 30
30.9°, I 50
31.5°, I 100
32.6°, I 33
33.5°, I 51
49.8°, I 26

Crystal structure
```
Pr7Dy3Tm
1.0
9.760 -3.601 0.000
9.760 3.601 0.000
-5.823 0.000 11.359
Pr Dy Tm
14 6 2
Cartesian
3.742 1.818 5.370 Pr
0.861 1.834 11.116 Pr
5.393 2.164 8.519 Pr
5.350 0.024 2.586 Pr
2.438 -0.024 8.266 Pr
9.924 1.834 5.922 Pr
12.867 1.818 0.309 Pr
0.830 -1.818 11.049 Pr
3.773 -1.834 5.437 Pr
11.260 0.024 3.093 Pr
8.348 -0.024 8.772 Pr
8.305 -2.164 2.840 Pr
12.836 -1.834 0.243 Pr
9.955 -1.818 5.989 Pr
1.770 0.021 3.097 Dy
-1.142 -0.021 8.777 Dy
9.760 0.000 0.000 Dy
6.849 0.000 5.679 Dy
14.839 0.021 2.582 Dy
11.927 -0.021 8.261 Dy
0.000 0.000 0.000 Tm
-2.912 0.000 5.679 Tm
```



For Pr3Dy6Tm, DFT lattice parameters and positions (GGA-PBE) gives the computed XRD peak list in this record (Cu Kα (λ = 1.5418 Å)).

Peak list (6 most intense, 2θ = 10–90°, sorted by position)
28.5°, I 32
30.9°, I 44
31.2°, I 38
31.4°, I 100
32.1°, I 47
55.2°, I 31

Crystal structure
```
Pr3Dy6Tm
1.0
5.790 -3.298 0.000
5.790 3.298 0.000
-4.179 0.000 8.838
Pr Dy Tm
3 6 1
Cartesian
0.000 0.000 0.000 Pr
-2.097 0.000 6.197 Pr
9.498 0.000 2.641 Pr
0.774 1.616 6.062 Dy
3.893 0.000 0.703 Dy
6.628 1.616 2.776 Dy
0.774 -1.616 6.062 Dy
3.508 0.000 8.135 Dy
6.628 -1.616 2.776 Dy
3.701 0.000 4.419 Tm
```



For Pr6DyTm4, DFT lattice parameters and positions (GGA-PBE) gives the computed XRD peak list in this record (Cu Kα (λ = 1.5418 Å)).

Peak list (6 most intense, 2θ = 10–90°, sorted by position)
28.3°, I 53
28.5°, I 59
29.8°, I 100
30.2°, I 38
34.2°, I 64
56.1°, I 30

Crystal structure
```
Pr6DyTm4
1.0
-3.413 3.413 8.210
3.413 -3.413 8.210
3.413 3.413 -8.210
Pr Dy Tm
6 1 4
Cartesian
3.413 0.000 0.000 Pr
2.099 -2.099 5.279 Pr
1.314 1.314 2.931 Pr
0.000 3.413 0.000 Pr
-2.099 2.099 5.279 Pr
2.099 2.099 11.141 Pr
0.000 0.000 0.000 Dy
2.222 2.222 -1.862 Tm
1.190 -1.190 10.072 Tm
1.190 1.190 6.348 Tm
-1.190 1.190 10.072 Tm
```



For PrDyTm14, DFT lattice parameters and positions (GGA-PBE) gives the computed XRD peak list in this record (Cu Kα (λ = 1.5418 Å)).

Peak list (6 most intense, 2θ = 10–90°, sorted by position)
30.3°, I 41
31.6°, I 34
33.4°, I 100
37.9°, I 23
51.9°, I 26
62.0°, I 30

Crystal structure
```
PrDyTm14
1.0
11.320 0.000 0.000
0.000 3.527 6.101
0.000 -3.527 6.101
Pr Dy Tm
1 1 14
Cartesian
0.000 0.000 0.000 Pr
0.000 0.000 6.105 Dy
0.000 -1.764 3.054 Tm
0.000 1.764 3.054 Tm
2.839 0.000 8.145 Tm
2.860 0.000 2.046 Tm
2.869 -1.758 5.087 Tm
2.869 1.758 5.087 Tm
5.660 0.000 4.075 Tm
5.660 -1.761 7.130 Tm
5.660 1.761 7.130 Tm
5.660 0.000 10.176 Tm
8.460 0.000 2.046 Tm
8.451 -1.758 5.087 Tm
8.451 1.758 5.087 Tm
8.481 0.000 8.145 Tm
```



For PrDy6Tm8, DFT lattice parameters and positions (GGA-PBE) gives the computed XRD peak list in this record (Cu Kα (λ = 1.5418 Å)).

Peak list (6 most intense, 2θ = 10–90°, sorted by position)
26.0°, I 38
32.3°, I 100
33.1°, I 72
33.9°, I 94
36.0°, I 22
51.0°, I 22

Crystal structure
```
PrDy6Tm8
1.0
9.384 0.000 0.000
-4.692 8.127 0.000
0.000 0.000 6.399
Pr Dy Tm
1 6 8
Cartesian
0.000 0.000 0.000 Pr
-1.011 3.416 5.844 Dy
-1.229 7.294 5.844 Dy
2.453 2.583 0.555 Dy
2.240 5.544 5.844 Dy
5.921 0.833 0.555 Dy
5.703 4.712 0.555 Dy
-2.990 5.570 3.778 Tm
1.363 2.752 3.778 Tm
0.000 5.418 2.203 Tm
3.065 0.195 2.622 Tm
1.627 7.932 3.778 Tm
4.692 2.709 4.196 Tm
3.329 5.375 2.622 Tm
7.683 2.557 2.622 Tm
```



For Pr4DyTm10, DFT lattice parameters and positions (GGA-PBE) gives the computed XRD peak list in this record (Cu Kα (λ = 1.5418 Å)).

Peak list (6 most intense, 2θ = 10–90°, sorted by position)
27.5°, I 25
30.9°, I 28
31.9°, I 100
33.9°, I 36
41.0°, I 34
67.9°, I 17

Crystal structure
```
Pr4DyTm10
1.0
-5.607 5.607 3.975
5.607 -5.607 3.975
5.607 5.607 -3.975
Pr Dy Tm
4 1 10
Cartesian
2.542 2.542 0.000 Pr
3.065 -3.065 3.975 Pr
-3.065 3.065 3.975 Pr
3.065 3.065 3.975 Pr
0.000 0.000 0.000 Dy
5.607 3.277 -1.629 Tm
5.607 0.000 1.987 Tm
3.277 5.607 -1.629 Tm
2.330 0.000 2.345 Tm
5.607 3.277 1.629 Tm
0.000 2.330 2.345 Tm
3.277 5.607 1.629 Tm
2.330 0.000 5.604 Tm
0.000 5.607 1.987 Tm
0.000 2.330 5.604 Tm
```



For Pr7DyTm3, DFT lattice parameters and positions (GGA-PBE) gives the computed XRD peak list in this record (Cu Kα (λ = 1.5418 Å)).

Peak list (6 most intense, 2θ = 10–90°, sorted by position)
28.7°, I 24
31.0°, I 50
31.6°, I 100
32.9°, I 32
33.5°, I 52
50.0°, I 26

Crystal structure
```
Pr7DyTm3
1.0
9.698 -3.603 0.000
9.698 3.603 0.000
-5.700 0.000 11.341
Pr Dy Tm
14 2 6
Cartesian
3.759 1.822 5.356 Pr
0.926 1.825 11.070 Pr
5.423 2.113 8.506 Pr
5.340 0.046 2.585 Pr
2.490 -0.046 8.255 Pr
9.921 1.825 5.941 Pr
12.787 1.822 0.315 Pr
0.909 -1.822 11.026 Pr
3.775 -1.825 5.400 Pr
11.206 0.046 3.085 Pr
8.356 -0.046 8.756 Pr
8.273 -2.113 2.835 Pr
12.770 -1.825 0.271 Pr
9.937 -1.822 5.985 Pr
0.000 0.000 0.000 Dy
-2.850 0.000 5.670 Dy
1.774 0.030 3.103 Tm
-1.076 -0.030 8.773 Tm
9.698 0.000 0.000 Tm
6.848 0.000 5.670 Tm
14.772 0.030 2.567 Tm
11.922 -0.030 8.238 Tm
```